Structure and calculated powder XRD pattern of CaZn2O8 (a cell relaxed with PBE; a wavelength of 1.5418 Å).
No peak broadening, texture or thermal motion is included.

Largest 12 diffraction maxima, by angle, 10° ≤ 2θ ≤ 90°:
2θ 14.26, I 79.3, hkl 1 0 0
2θ 17.80, I 55.3, hkl 1 1 0
2θ 18.76, I 93.8, hkl 0 1 1
2θ 26.39, I 71.1, hkl 0 2 1
2θ 28.75, I 100.0, hkl 2 0 0
2θ 30.98, I 41.6, hkl 1 1 -2
2θ 31.15, I 44.9, hkl 0 0 2
2θ 36.45, I 82.0, hkl 1 3 -1
2θ 45.42, I 26.7, hkl 1 1 -3
2θ 52.60, I 43.1, hkl 3 3 -1
2θ 55.57, I 27.1, hkl 1 3 -3
2θ 56.83, I 22.3, hkl 2 3 -3

Structure:
```
data_CaZn2O8
_chemical_formula_sum 'Ca2 Zn4 O16'
_space_group_name_H-M_alt 'P 1 21/c 1'
_space_group_IT_number 14
_cell_length_a 6.687
_cell_length_b 8.350
_cell_length_c 6.183
_cell_angle_alpha 90.00
_cell_angle_beta 111.77
_cell_angle_gamma 90.00
loop_
_space_group_symop_operation_xyz
'x,y,z'
'-x,-y,-z'
'-x,y+1/2,-z+1/2'
'x,-y+1/2,z+1/2'
loop_
_atom_site_label
_atom_site_type_symbol
_atom_site_fract_x
_atom_site_fract_y
_atom_site_fract_z
Ca1 Ca 0.000 0.000 0.000
Zn1 Zn 0.439 0.162 0.815
O1 O 0.008 0.747 0.255
O2 O 0.113 0.129 0.719
O3 O 0.376 0.011 0.210
O4 O 0.488 0.152 0.155
```


Structure and calculated powder XRD pattern of Ca3Zr17O37 (a cell relaxed with PBE; a wavelength of 1.5418 Å).
No peak broadening, texture or thermal motion is included.

Largest 12 diffraction maxima, by angle, 10° ≤ 2θ ≤ 90°:
2θ 29.47, I 34.4, hkl 0 0 60
2θ 29.94, I 100.0, hkl 0 1 20
2θ 34.57, I 28.4, hkl 1 0 40
2θ 49.39, I 37.9, hkl 0 1 80
2θ 50.00, I 41.1, hkl 1 1 0
2θ 58.57, I 13.5, hkl 1 0 100
2θ 59.11, I 26.8, hkl 1 1 60
2θ 59.38, I 13.5, hkl 2 0 20
2θ 62.21, I 6.0, hkl 0 2 40
2θ 72.92, I 10.5, hkl 2 0 80
2θ 81.25, I 10.6, hkl 1 2 20
2θ 82.81, I 6.0, hkl 1 1 120

Structure:
```
data_Ca3Zr17O37
_chemical_formula_sum 'Ca9 Zr51 O111'
_space_group_name_H-M_alt 'R 3 m'
_space_group_IT_number 160
_space_group_name_Hall 'R 3 -2"'
_cell_length_a 3.6484
_cell_length_b 3.6484
_cell_length_c 181.8521
_cell_angle_alpha 90.00
_cell_angle_beta 90.00
_cell_angle_gamma 120.00
loop_
_atom_site_label
_atom_site_type_symbol
_atom_site_fract_x
_atom_site_fract_y
_atom_site_fract_z
Ca1 Ca 0.0000 0.0000 0.0000
Ca2 Ca 0.0000 0.0000 0.0507
Ca3 Ca 0.0000 0.0000 0.3498
Zr1 Zr 0.0000 0.0000 0.0990
Zr2 Zr 0.0000 0.0000 0.1489
Zr3 Zr 0.0000 0.0000 0.1988
Zr4 Zr 0.0000 0.0000 0.2488
Zr5 Zr 0.0000 0.0000 0.2986
Zr6 Zr 0.0000 0.0000 0.3994
Zr7 Zr 0.0000 0.0000 0.4489
Zr8 Zr 0.0000 0.0000 0.4989
Zr9 Zr 0.0000 0.0000 0.5488
Zr10 Zr 0.0000 0.0000 0.5988
Zr11 Zr 0.0000 0.0000 0.6483
Zr12 Zr 0.0000 0.0000 0.6994
Zr13 Zr 0.0000 0.0000 0.7493
Zr14 Zr 0.0000 0.0000 0.7989
Zr15 Zr 0.0000 0.0000 0.8489
Zr16 Zr 0.0000 0.0000 0.8988
Zr17 Zr 0.0000 0.0000 0.9487
O1 O 0.0000 0.0000 0.0317
O2 O 0.0000 0.0000 0.0637
O3 O 0.0000 0.0000 0.0874
O4 O 0.0000 0.0000 0.1122
O5 O 0.0000 0.0000 0.1371
O6 O 0.0000 0.0000 0.1621
O7 O 0.0000 0.0000 0.1871
O8 O 0.0000 0.0000 0.2121
O9 O 0.0000 0.0000 0.2371
O10 O 0.0000 0.0000 0.2621
O11 O 0.0000 0.0000 0.2870
O12 O 0.0000 0.0000 0.3119
O13 O 0.0000 0.0000 0.3372
O14 O 0.0000 0.0000 0.3882
O15 O 0.0000 0.0000 0.4128
O16 O 0.0000 0.0000 0.4372
O17 O 0.0000 0.0000 0.4622
O18 O 0.0000 0.0000 0.4871
O19 O 0.0000 0.0000 0.5121
O20 O 0.0000 0.0000 0.5371
O21 O 0.0000 0.0000 0.5621
O22 O 0.0000 0.0000 0.5870
O23 O 0.0000 0.0000 0.6120
O24 O 0.0000 0.0000 0.6369
O25 O 0.0000 0.0000 0.6868
O26 O 0.0000 0.0000 0.7097
O27 O 0.0000 0.0000 0.7378
O28 O 0.0000 0.0000 0.7624
O29 O 0.0000 0.0000 0.7871
O30 O 0.0000 0.0000 0.8121
O31 O 0.0000 0.0000 0.8371
O32 O 0.0000 0.0000 0.8621
O33 O 0.0000 0.0000 0.8871
O34 O 0.0000 0.0000 0.9121
O35 O 0.0000 0.0000 0.9370
O36 O 0.0000 0.0000 0.9621
O37 O 0.0000 0.0000 0.9874
```


Structure and calculated powder XRD pattern of CaP (a cell relaxed with PBE; a wavelength of 1.5418 Å).
No peak broadening, texture or thermal motion is included.

Largest 12 diffraction maxima, by angle, 10° ≤ 2θ ≤ 90°:
2θ 23.22, I 7.6, hkl 1 1 0
2θ 28.03, I 100.0, hkl 1 1 1
2θ 31.16, I 10.8, hkl 2 0 1
2θ 39.30, I 64.2, hkl 1 1 2
2θ 40.80, I 63.9, hkl 3 0 0
2θ 50.23, I 15.0, hkl 2 2 1
2θ 53.69, I 14.4, hkl 1 1 3
2θ 57.94, I 17.0, hkl 2 2 2
2θ 66.62, I 10.3, hkl 4 1 1
2θ 73.26, I 17.2, hkl 4 1 2
2θ 74.27, I 8.3, hkl 3 3 0
2θ 79.86, I 7.4, hkl 3 0 4

Structure:
```
data_CaP
_chemical_formula_sum 'Ca6 P6'
_space_group_name_H-M_alt 'P -6 2 m'
_space_group_IT_number 189
_space_group_name_Hall 'P -6 -2'
_cell_length_a 7.6621
_cell_length_b 7.6621
_cell_length_c 5.7214
_cell_angle_alpha 90.00
_cell_angle_beta 90.00
_cell_angle_gamma 120.00
loop_
_atom_site_label
_atom_site_type_symbol
_atom_site_fract_x
_atom_site_fract_y
_atom_site_fract_z
Ca1 Ca 0.0000 0.3567 0.0000
Ca2 Ca 0.0000 0.6912 0.5000
P1 P 0.0000 0.0000 0.1967
P2 P 0.3333 0.6667 0.2983
```


Structure and calculated powder XRD pattern of Ca3P2 (a cell relaxed with PBE; a wavelength of 1.5418 Å).
No peak broadening, texture or thermal motion is included.

Largest 12 diffraction maxima, by angle, 10° ≤ 2θ ≤ 90°:
2θ 16.70, I 31.8, hkl 1 0 0
2θ 23.70, I 6.4, hkl 1 1 0
2θ 29.13, I 91.8, hkl 1 1 1
2θ 33.76, I 100.0, hkl 2 0 0
2θ 37.89, I 14.3, hkl 2 1 0
2θ 48.49, I 65.3, hkl 2 2 0
2θ 51.64, I 6.7, hkl 3 0 0
2θ 57.57, I 33.7, hkl 3 1 1
2θ 60.39, I 21.4, hkl 2 2 2
2θ 71.00, I 9.6, hkl 4 0 0
2θ 78.52, I 12.4, hkl 3 3 1
2θ 80.97, I 26.4, hkl 4 2 0

Structure:
```
data_Ca3P2
_chemical_formula_sum 'Ca3 P2'
_space_group_name_H-M_alt 'P m -3 m'
_space_group_IT_number 221
_space_group_name_Hall '-P 4 2 3'
_cell_length_a 5.310
_cell_length_b 5.310
_cell_length_c 5.310
_cell_angle_alpha 90.00
_cell_angle_beta 90.00
_cell_angle_gamma 90.00
loop_
_atom_site_label
_atom_site_type_symbol
_atom_site_fract_x
_atom_site_fract_y
_atom_site_fract_z
Ca1 Ca 0.000 0.000 0.500
P1 P 0.000 0.000 0.000
P2 P 0.500 0.500 0.500
```


Structure and calculated powder XRD pattern of CaP3 (a cell relaxed with PBE; a wavelength of 1.5418 Å).
No peak broadening, texture or thermal motion is included.

Largest 12 diffraction maxima, by angle, 10° ≤ 2θ ≤ 90°:
2θ 26.38, I 39.0, hkl 1 -1 0
2θ 27.50, I 31.6, hkl 0 1 -1
2θ 32.72, I 100.0, hkl 0 1 2
2θ 33.03, I 64.8, hkl 1 2 1
2θ 33.33, I 24.2, hkl 1 -1 1
2θ 34.01, I 86.4, hkl 2 1 0
2θ 34.69, I 42.3, hkl 0 2 0
2θ 35.85, I 43.8, hkl 2 0 1
2θ 36.11, I 27.0, hkl 1 0 2
2θ 50.54, I 37.0, hkl 2 0 -2
2θ 59.82, I 24.6, hkl 1 3 3
2θ 62.42, I 21.0, hkl 1 -1 3

Structure:
```
data_CaP3
_chemical_formula_sum 'Ca2 P6'
_space_group_name_H-M_alt 'P -1'
_space_group_IT_number 2
_cell_length_a 5.609
_cell_length_b 5.639
_cell_length_c 5.695
_cell_angle_alpha 70.08
_cell_angle_beta 79.63
_cell_angle_gamma 74.68
loop_
_space_group_symop_operation_xyz
'x,y,z'
'-x,-y,-z'
loop_
_atom_site_label
_atom_site_type_symbol
_atom_site_fract_x
_atom_site_fract_y
_atom_site_fract_z
Ca1 Ca 0.176 0.143 0.148
P1 P 0.099 0.300 0.602
P2 P 0.373 0.678 0.894
P3 P 0.495 0.301 0.501
```


Structure and calculated powder XRD pattern of CaP2Pd2 (a cell relaxed with PBE; a wavelength of 1.5418 Å).
No peak broadening, texture or thermal motion is included.

Largest 12 diffraction maxima, by angle, 10° ≤ 2θ ≤ 90°:
2θ 18.15, I 49.7, hkl 0 0 2
2θ 30.30, I 13.2, hkl 1 1 0
2θ 35.54, I 100.0, hkl 1 1 2
2θ 36.78, I 12.7, hkl 0 0 4
2θ 43.38, I 39.5, hkl 2 0 0
2θ 47.38, I 16.7, hkl 2 0 2
2θ 48.36, I 30.5, hkl 1 1 4
2θ 58.14, I 13.1, hkl 2 0 4
2θ 63.02, I 12.5, hkl 2 2 0
2θ 65.44, I 11.6, hkl 1 1 6
2θ 74.49, I 21.5, hkl 3 1 2
2θ 83.22, I 12.7, hkl 3 1 4

Structure:
```
data_CaP2Pd2
_chemical_formula_sum 'Ca2 P4 Pd4'
_space_group_name_H-M_alt 'I 4/m m m'
_space_group_IT_number 139
_space_group_name_Hall '-I 4 2'
_cell_length_a 4.172
_cell_length_b 4.172
_cell_length_c 9.775
_cell_angle_alpha 90.00
_cell_angle_beta 90.00
_cell_angle_gamma 90.00
loop_
_atom_site_label
_atom_site_type_symbol
_atom_site_fract_x
_atom_site_fract_y
_atom_site_fract_z
Ca1 Ca 0.000 0.000 0.000
P1 P 0.000 0.000 0.388
Pd1 Pd 0.000 0.500 0.250
```